NbFe3Ni2P6O24: calculated powder X-ray diffraction pattern (Cu Kα (weighted mean of Kα1 and Kα2)), based on a DFT-relaxed cell (PBE+U, Alexandria).
Kinematic intensities with the Lorentz-polarization factor, no thermal factor.

Principal peaks in the range 2θ from 15° to 90°, low angle first:
2θ/deg, d [Å], I/Imax
20.51, 4.330, 100.0
24.24, 3.671, 85.0
25.25, 3.527, 14.3
33.13, 2.704, 73.2
35.93, 2.500, 42.0
47.48, 1.915, 31.7
49.67, 1.836, 27.9
56.21, 1.636, 25.1
56.70, 1.623, 15.8
62.80, 1.480, 21.4

Crystal structure
```
NbFe3Ni2P6O24
1.0
4.3297 2.4997 6.9259
-4.3297 2.4997 6.9259
0.0000 -4.9995 6.9259
Nb Fe Ni P O
1 3 2 6 24
direct
0.0000 0.0000 0.0000
0.2139 0.2139 0.2139
0.5004 0.5004 0.5004
0.7112 0.7112 0.7112
0.3560 0.3560 0.3560
0.8528 0.8528 0.8528
0.1100 0.4095 0.8094
0.3164 0.9009 0.6018
0.4095 0.8094 0.1100
0.6018 0.3164 0.9009
0.8094 0.1100 0.4095
0.9009 0.6018 0.3164
0.0372 0.2447 0.8639
0.0993 0.4464 0.3006
0.1126 0.9214 0.7632
0.1757 0.3618 0.9676
0.2447 0.8639 0.0372
0.2654 0.4111 0.6140
0.3006 0.0993 0.4464
0.3497 0.7445 0.5406
0.3618 0.9676 0.1757
0.4111 0.6140 0.2654
0.4464 0.3006 0.0993
0.4642 0.8565 0.6809
0.5406 0.3497 0.7445
0.6023 0.7947 0.9481
0.6140 0.2654 0.4111
0.6809 0.4642 0.8565
0.7445 0.5406 0.3497
0.7632 0.1126 0.9214
0.7947 0.9481 0.6023
0.8565 0.6809 0.4642
0.8639 0.0372 0.2447
0.9214 0.7632 0.1126
0.9481 0.6023 0.7947
0.9676 0.1757 0.3618
```